# Pm6TcSn2
Calculated X-ray diffraction stick pattern, Cu Kα X-rays. Input: DFT lattice parameters and positions (GGA-PBE).
Kinematic intensities with the Lorentz-polarization factor, no thermal factor.

Lattice parameters (Å, degrees): 8.297 8.297 4.454 90.00 90.00 120.00
Sites, in units of the cell vectors:
Pm (0.000, 0.408, 0.000)
Pm (0.000, 0.763, 0.500)
Pm (0.237, 0.237, 0.500)
Pm (0.408, 0.000, 0.000)
Pm (0.592, 0.592, 0.000)
Pm (0.763, 0.000, 0.500)
Tc (0.000, 0.000, 0.000)
Sn (0.333, 0.667, 0.500)
Sn (0.667, 0.333, 0.500)

Top 12 peaks for 2θ = 10–80°, sorted by position:
2θ 29.4, I = 100; 2θ 32.0, I = 89; 2θ 33.0, I = 65; 2θ 37.6, I = 27; 2θ 38.8, I = 36; 2θ 40.5, I = 29; 2θ 50.1, I = 20; 2θ 53.2, I = 34; 2θ 56.4, I = 17; 2θ 59.8, I = 30; 2θ 62.8, I = 13; 2θ 66.9, I = 13


# Pm12TcSn6
Calculated X-ray diffraction stick pattern, Cu Kα X-rays. Input: DFT lattice parameters and positions (GGA-PBE).
Kinematic intensities with the Lorentz-polarization factor, no thermal factor.

Lattice parameters (Å, degrees): 8.824 8.824 8.824 99.20 99.20 99.20
Sites, in units of the cell vectors:
Pm (0.016, 0.948, 0.685)
Pm (0.052, 0.315, 0.984)
Pm (0.194, 0.563, 0.427)
Pm (0.315, 0.984, 0.052)
Pm (0.427, 0.194, 0.563)
Pm (0.437, 0.573, 0.806)
Pm (0.563, 0.427, 0.194)
Pm (0.573, 0.806, 0.437)
Pm (0.685, 0.016, 0.948)
Pm (0.806, 0.437, 0.573)
Pm (0.948, 0.685, 0.016)
Pm (0.984, 0.052, 0.315)
Tc (0.000, 0.000, 0.000)
Sn (0.123, 0.310, 0.641)
Sn (0.310, 0.641, 0.123)
Sn (0.359, 0.877, 0.690)
Sn (0.641, 0.123, 0.310)
Sn (0.690, 0.359, 0.877)
Sn (0.877, 0.690, 0.359)

Top 12 peaks for 2θ = 10–80°, sorted by position:
2θ 21.4, I = 59; 2θ 24.7, I = 40; 2θ 26.5, I = 20; 2θ 28.5, I = 23; 2θ 29.4, I = 53; 2θ 31.1, I = 100; 2θ 35.0, I = 96; 2θ 35.3, I = 71; 2θ 36.5, I = 42; 2θ 45.7, I = 24; 2θ 51.3, I = 22; 2θ 67.1, I = 24


# Pm4SnTe4
Calculated X-ray diffraction stick pattern, Cu Kα X-rays. Input: DFT lattice parameters and positions (GGA-PBE).
Kinematic intensities with the Lorentz-polarization factor, no thermal factor.

Lattice parameters (Å, degrees): 8.467 8.467 8.467 126.36 126.36 79.29
Sites, in units of the cell vectors:
Pm (0.096, 0.656, 0.000)
Pm (0.344, 0.344, 0.440)
Pm (0.656, 0.096, 0.000)
Pm (0.904, 0.904, 0.560)
Sn (0.000, 0.000, 0.000)
Te (0.000, 0.500, 0.500)
Te (0.294, 0.294, 0.000)
Te (0.500, 0.000, 0.500)
Te (0.706, 0.706, 0.000)

Top 12 peaks for 2θ = 10–80°, sorted by position:
2θ 13.4, I = 11; 2θ 21.4, I = 100; 2θ 23.5, I = 9; 2θ 27.0, I = 9; 2θ 33.2, I = 48; 2θ 33.4, I = 24; 2θ 36.2, I = 62; 2θ 39.8, I = 32; 2θ 41.1, I = 12; 2θ 45.0, I = 11; 2θ 47.6, I = 15; 2θ 61.3, I = 20


# Pm6SnTe5
Calculated X-ray diffraction stick pattern, Cu Kα X-rays. Input: DFT lattice parameters and positions (GGA-PBE).
Kinematic intensities with the Lorentz-polarization factor, no thermal factor.

Lattice parameters (Å, degrees): 7.748 7.748 7.775 99.57 99.57 119.90
Sites, in units of the cell vectors:
Pm (0.081, 0.407, 0.744)
Pm (0.243, 0.243, 0.255)
Pm (0.407, 0.081, 0.744)
Pm (0.593, 0.919, 0.256)
Pm (0.757, 0.757, 0.745)
Pm (0.919, 0.593, 0.256)
Sn (0.000, 0.000, 0.500)
Te (0.169, 0.831, 0.000)
Te (0.334, 0.666, 0.500)
Te (0.500, 0.500, 0.000)
Te (0.666, 0.334, 0.500)
Te (0.831, 0.169, 0.000)

Top 12 peaks for 2θ = 10–80°, sorted by position:
2θ 28.2, I = 100; 2θ 40.2, I = 38; 2θ 40.3, I = 38; 2θ 49.7, I = 7; 2θ 49.9, I = 20; 2θ 58.2, I = 13; 2θ 65.8, I = 6; 2θ 65.9, I = 18; 2θ 66.0, I = 12; 2θ 73.0, I = 6; 2θ 73.2, I = 11; 2θ 73.3, I = 9


# PmSnTe3
Calculated X-ray diffraction stick pattern, Cu Kα X-rays. Input: DFT lattice parameters and positions (GGA-PBE).
Kinematic intensities with the Lorentz-polarization factor, no thermal factor.

Lattice parameters (Å, degrees): 9.321 9.321 7.978 90.00 90.00 147.37
Sites, in units of the cell vectors:
Pm (0.195, 0.805, 0.750)
Pm (0.805, 0.195, 0.250)
Sn (0.446, 0.554, 0.750)
Sn (0.554, 0.446, 0.250)
Te (0.017, 0.983, 0.750)
Te (0.332, 0.668, 0.008)
Te (0.332, 0.668, 0.492)
Te (0.668, 0.332, 0.508)
Te (0.668, 0.332, 0.992)
Te (0.983, 0.017, 0.250)

Top 12 peaks for 2θ = 10–80°, sorted by position:
2θ 20.9, I = 89; 2θ 22.6, I = 35; 2θ 22.8, I = 54; 2θ 24.4, I = 50; 2θ 28.6, I = 41; 2θ 30.0, I = 80; 2θ 32.0, I = 100; 2θ 34.2, I = 80; 2θ 37.9, I = 95; 2θ 40.9, I = 37; 2θ 45.5, I = 48; 2θ 46.2, I = 48


# Pm8Sn3Te2
Calculated X-ray diffraction stick pattern, Cu Kα X-rays. Input: DFT lattice parameters and positions (GGA-PBE).
Kinematic intensities with the Lorentz-polarization factor, no thermal factor.

Lattice parameters (Å, degrees): 9.003 9.003 7.782 107.90 107.90 56.62
Sites, in units of the cell vectors:
Pm (0.095, 0.095, 0.318)
Pm (0.132, 0.643, 0.092)
Pm (0.357, 0.868, 0.908)
Pm (0.386, 0.386, 0.577)
Pm (0.614, 0.614, 0.423)
Pm (0.643, 0.132, 0.092)
Pm (0.868, 0.357, 0.908)
Pm (0.905, 0.905, 0.682)
Sn (0.232, 0.768, 0.500)
Sn (0.500, 0.500, 0.000)
Sn (0.768, 0.232, 0.500)
Te (0.256, 0.256, 0.153)
Te (0.744, 0.744, 0.847)

Top 12 peaks for 2θ = 10–80°, sorted by position:
2θ 11.9, I = 23; 2θ 25.0, I = 34; 2θ 28.9, I = 17; 2θ 29.1, I = 17; 2θ 30.9, I = 38; 2θ 31.0, I = 100; 2θ 36.0, I = 17; 2θ 37.3, I = 20; 2θ 40.7, I = 39; 2θ 42.3, I = 24; 2θ 47.7, I = 19; 2θ 53.3, I = 16


# Pm4SnTe2
Calculated X-ray diffraction stick pattern, Cu Kα X-rays. Input: DFT lattice parameters and positions (GGA-PBE).
Kinematic intensities with the Lorentz-polarization factor, no thermal factor.

Lattice parameters (Å, degrees): 8.454 8.454 8.454 108.83 108.83 110.76
Sites, in units of the cell vectors:
Pm (0.183, 0.244, 0.561)
Pm (0.183, 0.623, 0.939)
Pm (0.244, 0.183, 0.061)
Pm (0.377, 0.817, 0.561)
Pm (0.623, 0.183, 0.439)
Pm (0.756, 0.817, 0.939)
Pm (0.817, 0.377, 0.061)
Pm (0.817, 0.756, 0.439)
Sn (0.125, 0.875, 0.250)
Sn (0.875, 0.125, 0.750)
Te (0.000, 0.500, 0.500)
Te (0.500, 0.000, 0.000)
Te (0.500, 0.500, 0.000)
Te (0.500, 0.500, 0.500)

Top 12 peaks for 2θ = 10–80°, sorted by position:
2θ 18.0, I = 24; 2θ 25.6, I = 79; 2θ 28.8, I = 41; 2θ 29.3, I = 100; 2θ 34.2, I = 66; 2θ 34.3, I = 28; 2θ 36.5, I = 47; 2θ 39.3, I = 28; 2θ 43.3, I = 34; 2θ 43.6, I = 26; 2θ 47.8, I = 27; 2θ 54.8, I = 24


# Pm4SnTe5
Calculated X-ray diffraction stick pattern, Cu Kα X-rays. Input: DFT lattice parameters and positions (GGA-PBE).
Kinematic intensities with the Lorentz-polarization factor, no thermal factor.

Lattice parameters (Å, degrees): 18.561 18.561 18.561 13.88 13.88 13.88
Sites, in units of the cell vectors:
Pm (0.096, 0.096, 0.096)
Pm (0.299, 0.299, 0.299)
Pm (0.701, 0.701, 0.701)
Pm (0.904, 0.904, 0.904)
Sn (0.500, 0.500, 0.500)
Te (0.000, 0.000, 0.000)
Te (0.201, 0.201, 0.201)
Te (0.399, 0.399, 0.399)
Te (0.601, 0.601, 0.601)
Te (0.799, 0.799, 0.799)

Top 12 peaks for 2θ = 10–80°, sorted by position:
2θ 28.1, I = 100; 2θ 31.2, I = 1; 2θ 40.2, I = 76; 2θ 44.4, I = 1; 2θ 49.6, I = 6; 2θ 49.8, I = 21; 2θ 58.1, I = 12; 2θ 65.7, I = 16; 2θ 65.8, I = 18; 2θ 70.2, I = 1; 2θ 72.8, I = 5; 2θ 73.0, I = 19